[1]
Calculated X-ray diffraction stick pattern of Tb2TmPt3 for Cu Kα (λ = 1.5418 Å), from a DFT-relaxed cell (GGA-PBE, Alexandria).

Top 9 peaks for 2θ from 5° to 70°, by intensity:
| 2θ/deg | I (rel.) |
| --- | --- |
| 36.54 | 100 |
| 36.28 | 26 |
| 36.13 | 25 |
| 65.43 | 19 |
| 65.24 | 18 |
| 52.13 | 18 |
| 65.99 | 18 |
| 53.13 | 9 |
| 25.38 | 1 |

Structural model:
a b c (Å): 4.952 14.917 3.448
angles (deg): 90.00 90.00 90.00
Space group Pmmn (No. 59, origin choice 2)
Unique sites:
Tb1 0.250 0.083 0.001 (multiplicity 4)
Tm1 0.250 0.750 0.999 (multiplicity 2)
Pt1 0.250 0.250 0.501 (multiplicity 2)
Pt2 0.250 0.589 0.499 (multiplicity 4)

---

[2]
Calculated X-ray diffraction stick pattern of Tb2Tm2Pt3 for Cu Kα (λ = 1.5418 Å), from a DFT-relaxed cell (GGA-PBE, Alexandria).

Top 10 peaks for 2θ from 5° to 70°, by intensity:
| 2θ/deg | I (rel.) |
| --- | --- |
| 32.59 | 100 |
| 38.77 | 55 |
| 66.31 | 26 |
| 53.79 | 24 |
| 46.75 | 15 |
| 49.18 | 12 |
| 51.52 | 11 |
| 68.26 | 9 |
| 25.10 | 7 |
| 29.06 | 3 |

Structural model:
a b c (Å): 8.690 8.690 8.690
angles (deg): 90.00 90.00 90.00
Space group I2_13 (No. 199)
Unique sites:
Tb1 0.064 0.064 0.064 (multiplicity 8)
Tm1 0.187 0.313 0.687 (multiplicity 8)
Pt1 0.000 0.250 0.380 (multiplicity 12)

---

[3]
Calculated X-ray diffraction stick pattern of TbU3Pt12 for Cu Kα (λ = 1.5418 Å), from a DFT-relaxed cell (GGA-PBE, Alexandria).

Top 4 peaks for 2θ from 5° to 70°, by intensity:
| 2θ/deg | I (rel.) |
| --- | --- |
| 37.53 | 100 |
| 43.60 | 50 |
| 63.37 | 33 |
| 5.33 | 1 |

Structural model:
a b c (Å): 4.153 4.153 16.591
angles (deg): 90.00 90.00 90.00
Space group P4/mmm (No. 123)
Unique sites:
Tb1 0.000 0.000 0.000 (multiplicity 1)
U1 0.000 0.000 0.248 (multiplicity 2)
U2 0.000 0.000 0.500 (multiplicity 1)
Pt1 0.000 0.500 0.126 (multiplicity 4)
Pt2 0.000 0.500 0.374 (multiplicity 4)
Pt3 0.500 0.500 0.000 (multiplicity 1)
Pt4 0.500 0.500 0.250 (multiplicity 2)
Pt5 0.500 0.500 0.500 (multiplicity 1)